The following is a theoretical X-ray diffraction stick pattern of V2MoO6. It was derived from a crystal structure in Alexandria, relaxed with GGA+U, using copper Kα.

Peak list (8 most intense, 2θ from 10° to 90°, in order of rising 2θ)
| two_theta | I/Imax | h k l |
| --- | --- | --- |
| 20.5 | 33 | 1 1 0 |
| 22.6 | 80 | 1 0 1 |
| 28.3 | 100 | 1 1 1 |
| 30.7 | 56 | 0 2 1 |
| 35.9 | 64 | 3 0 0 |
| 37.2 | 48 | 2 1 1 |
| 54.1 | 96 | 0 3 2 |
| 64.5 | 34 | 3 3 0 |

Atomic structure:
Cell: 8.6741 8.6741 4.6074 Å, 90.00 90.00 120.00°
Space group P321 (No. 150)
One atom of each set of equivalent atoms:
V1 0.0000 0.3139 0.0000 [3 per cell]
V2 0.0000 0.6482 0.5000 [3 per cell]
Mo1 0.0000 0.0000 0.5000 [1 per cell]
Mo2 0.3333 0.6667 0.0015 [2 per cell]
O1 0.1024 0.8859 0.2690 [6 per cell]
O2 0.1173 0.5450 0.2347 [6 per cell]
O3 0.2147 0.7641 0.7667 [6 per cell]